# Pa5Ge4P
Computed powder diffraction line list, Cu Kα, 1.54184 Å. Input: a PBE-relaxed structure.
Lines closer than 0.1° are merged.

Structural model:
Cell lengths 7.1041, 7.1041, 7.1041 Å; angles 99.60, 99.60, 131.79 degrees
Positions (direct):
Pa  0.0000  0.0000  0.0000
Pa  0.2076  0.5987  0.8063
Pa  0.4013  0.2076  0.6089
Pa  0.5987  0.7924  0.3911
Pa  0.7924  0.4013  0.1937
Ge  0.0969  0.3017  0.3986
Ge  0.3017  0.9031  0.2048
Ge  0.6983  0.0969  0.7952
Ge  0.9031  0.6983  0.6014
P  0.5000  0.5000  0.0000

Peak list (10 most intense, 2θ from 10° to 90°, low angle first)
two_theta, I/Imax
26.62, 56
30.83, 100
44.16, 75
52.30, 28
54.82, 27
64.22, 12
70.80, 12
72.93, 34
81.24, 26
87.34, 10